For Na5Ni2O5, a GGA+U-relaxed structure gives the computed X-ray diffraction stick pattern in this record (Cu Kα, 1.54184 Å).
Kinematic intensities with the Lorentz-polarization factor, no thermal factor.

Most intense lines, 10 to 90 degrees two-theta, in order of falling intensity:
2θ (°), intensity, index
16.13, 1000, 1 1 0
50.30, 537, 3 1 2
32.60, 534, 2 2 0
22.89, 452, 2 0 0
47.30, 420, 2 2 2
38.59, 346, 3 0 1
37.23, 308, 1 1 2
46.77, 245, 4 0 0
36.57, 217, 3 1 0
33.32, 162, 0 0 2

Cell and atoms:
a b c (Å): 7.769 7.769 5.378
angles (deg): 90.00 90.00 90.00
Space group I4mm (No. 107)
One atom of each set of equivalent atoms:
Na 0.000 0.000 0.000 (multiplicity 2)
Na 0.196 0.196 0.559 (multiplicity 8)
Ni 0.000 0.500 0.135 (multiplicity 4)
O 0.000 0.000 0.424 (multiplicity 2)
O 0.000 0.320 0.884 (multiplicity 8)